[1]
Simulated powder X-ray diffraction pattern of Ca4CdF2 for λ = 1.5418 Å (Cu Kα), from a crystal structure in Alexandria, relaxed with PBE.
Lines closer than 0.1° are merged.

Top 10 peaks for 10° ≤ 2θ ≤ 90°, by angle:
13.7 deg, intensity 52.9; 16.5 deg, intensity 56.1; 21.3 deg, intensity 55.9; 25.6 deg, intensity 39.1; 27.6 deg, intensity 39.2; 30.4 deg, intensity 100.0; 38.0 deg, intensity 28.5; 41.5 deg, intensity 50.0; 43.5 deg, intensity 34.8; 49.4 deg, intensity 25.2

Structure:
```
Ca4CdF2
1.0
-2.945 2.945 6.467
2.945 -2.945 6.467
2.945 2.945 -6.467
Ca Cd F
4 1 2
Cartesian
2.945 0.000 0.000 Ca
0.000 0.000 3.164 Ca
0.000 2.945 0.000 Ca
0.000 0.000 9.769 Ca
0.000 0.000 0.000 Cd
0.000 0.000 5.224 F
0.000 0.000 7.710 F
```

[2]
Simulated powder X-ray diffraction pattern of CaCd2F7 for λ = 1.5418 Å (Cu Kα), from a crystal structure in Alexandria, relaxed with PBE.
Lines closer than 0.1° are merged.

Top 10 peaks for 10° ≤ 2θ ≤ 90°, by angle:
16.3 deg, intensity 73.0; 24.6 deg, intensity 52.7; 26.5 deg, intensity 78.4; 26.9 deg, intensity 100.0; 29.8 deg, intensity 59.0; 32.7 deg, intensity 27.6; 34.5 deg, intensity 40.3; 46.5 deg, intensity 95.2; 47.4 deg, intensity 85.5; 53.3 deg, intensity 35.2

Structure:
```
CaCd2F7
1.0
1.953 1.127 10.854
-1.953 1.127 10.854
0.000 -2.255 10.854
Ca Cd F
1 2 7
Cartesian
0.000 0.000 0.000 Ca
0.000 0.000 14.047 Cd
0.000 0.000 18.515 Cd
0.000 0.000 2.352 F
0.000 0.000 7.076 F
0.000 0.000 11.652 F
0.000 0.000 16.281 F
0.000 0.000 20.910 F
0.000 0.000 25.487 F
0.000 0.000 30.211 F
```